# 1
For AgAsIO6, a PBE-relaxed structure gives the computed powder XRD pattern in this record (Cu Kα X-rays).

The 12 most intense peaks (10° ≤ 2θ ≤ 90°), in order of rising 2θ:
2θ (°), intensity, h k l
17.02, 14, 0 0 2
26.08, 100, 1 0 2
34.35, 46, 1 1 0
38.55, 9, 1 1 2
43.62, 22, 2 0 2
49.40, 44, 1 1 4
56.65, 21, 2 1 2
56.77, 10, 1 0 6
61.48, 13, 3 0 0
72.38, 13, 2 2 0
78.38, 9, 4 -1 2
82.64, 9, 4 -2 4

Structural model:
Cell: 5.2243 5.2243 10.4221 Å, 90.00 90.00 120.00°
Space group P-31c (No. 163)
Inequivalent atoms, fractional coordinates:
Ag (0.0000, 0.0000, 0.0000) x2
As (0.3333, 0.6667, 0.2500) x2
I (0.3333, 0.6667, 0.7500) x2
O (0.0225, 0.3880, 0.1459) x12


# 2
For BaSrAg2H6, a PBE-relaxed structure gives the computed powder XRD pattern in this record (Cu Kα X-rays).

The 12 most intense peaks (10° ≤ 2θ ≤ 90°), in order of rising 2θ:
2θ (°), intensity, h k l
21.44, 16, 1 1 1
27.02, 69, 2 2 -1
27.42, 100, 0 0 2
28.74, 20, 2 0 -2
29.13, 29, 1 3 -1
31.38, 35, 3 1 -1
33.36, 85, 2 2 1
33.92, 24, 0 4 0
36.58, 40, 1 3 -2
47.47, 18, 1 3 -3
52.70, 21, 4 2 -3
53.23, 16, 3 5 -1

Structural model:
Cell: 8.945 10.572 6.867 Å, 90.00 108.77 90.00°
Space group C2/c (No. 15)
Inequivalent atoms, fractional coordinates:
Ba (0.000, 0.169, 0.250) x4
Sr (0.000, 0.423, 0.750) x4
Ag (0.198, 0.131, 0.828) x8
H (0.074, 0.385, 0.113) x8
H (0.167, 0.257, 0.650) x8
H (0.176, 0.028, 0.019) x8


Please write out number 1 again, unchanged.
For AgAsIO6, a PBE-relaxed structure gives the computed powder XRD pattern in this record (Cu Kα X-rays).

The 12 most intense peaks (10° ≤ 2θ ≤ 90°), in order of rising 2θ:
2θ (°), intensity, h k l
17.02, 14, 0 0 2
26.08, 100, 1 0 2
34.35, 46, 1 1 0
38.55, 9, 1 1 2
43.62, 22, 2 0 2
49.40, 44, 1 1 4
56.65, 21, 2 1 2
56.77, 10, 1 0 6
61.48, 13, 3 0 0
72.38, 13, 2 2 0
78.38, 9, 4 -1 2
82.64, 9, 4 -2 4

Structural model:
Cell: 5.2243 5.2243 10.4221 Å, 90.00 90.00 120.00°
Space group P-31c (No. 163)
Inequivalent atoms, fractional coordinates:
Ag (0.0000, 0.0000, 0.0000) x2
As (0.3333, 0.6667, 0.2500) x2
I (0.3333, 0.6667, 0.7500) x2
O (0.0225, 0.3880, 0.1459) x12